[1]
This entry pairs a crystal structure of TlHg3PdO4 with its calculated powder diffraction line list. Radiation: λ = 1.5418 Å (Cu Kα). Structure: a crystal structure in OQMD, relaxed with PBE.

Cell lengths 5.4749, 5.4749, 5.4749 Å; angles 90.00, 90.00, 90.00 degrees
Space group P-43m (No. 215)
Symmetry-distinct sites (fractional):
Tl (0.0000, 0.0000, 0.0000) (multiplicity 1)
Hg (0.0000, 0.5000, 0.5000) (multiplicity 3)
Pd (0.5000, 0.5000, 0.5000) (multiplicity 1)
O (0.2340, 0.2340, 0.2340) (multiplicity 4)

Principal peaks in the range 5° ≤ 2θ ≤ 70°, in order of rising 2θ:
2θ (°)  I/Imax  index
16.2  6  1 0 0
23.0  6  1 1 0
28.2  100  1 1 1
32.7  76  2 0 0
46.9  74  2 2 0
55.7  47  3 1 1
58.4  21  2 2 2
68.6  12  4 0 0



[2]
This entry pairs a crystal structure of Tl2CuSbCl6 with its calculated powder diffraction line list. Radiation: λ = 1.5418 Å (Cu Kα). Structure: a crystal structure in OQMD, relaxed with PBE.

Cell lengths 7.1400, 7.2734, 12.5538 Å; angles 90.00, 124.36, 90.00 degrees
Space group P2_1/c (No. 14)
Symmetry-distinct sites (fractional):
Tl (0.2315, 0.0554, 0.2473) (multiplicity 4)
Cu (0.0000, 0.0000, 0.5000) (multiplicity 2)
Sb (0.5000, 0.0000, 0.0000) (multiplicity 2)
Cl (0.1702, 0.2185, 0.9707) (multiplicity 4)
Cl (0.2561, 0.6993, 0.9729) (multiplicity 4)
Cl (0.3015, 0.0020, 0.7439) (multiplicity 4)

Principal peaks in the range 5° ≤ 2θ ≤ 70°, in order of rising 2θ:
2θ (°)  I/Imax  index
24.5  100  1 1 -3
24.9  22  2 0 -2
34.6  22  0 0 4
35.2  29  2 2 -2
40.2  12  1 3 -2
43.1  16  2 0 2
43.7  12  3 1 -5
50.1  11  2 2 2



[3]
This entry pairs a crystal structure of Gd2HoErTl2 with its calculated powder diffraction line list. Radiation: λ = 1.5418 Å (Cu Kα). Structure: a crystal structure in OQMD, relaxed with PBE.

Cell lengths 5.3976, 5.3976, 6.7208 Å; angles 90.00, 90.00, 120.00 degrees
Space group P-6m2 (No. 187)
Symmetry-distinct sites (fractional):
Gd (0.0000, 0.0000, 0.2495) (multiplicity 2)
Ho (0.3333, 0.6667, 0.5000) (multiplicity 1)
Er (0.6667, 0.3333, 0.0000) (multiplicity 1)
Tl (0.3333, 0.6667, 0.0000) (multiplicity 1)
Tl (0.6667, 0.3333, 0.5000) (multiplicity 1)

Principal peaks in the range 5° ≤ 2θ ≤ 70°, in order of rising 2θ:
2θ (°)  I/Imax  index
32.8  87  1 0 2
33.2  100  1 1 0
43.0  16  1 1 2
47.4  32  2 0 2
59.1  33  2 1 2
59.3  19  3 0 0
65.4  29  1 1 4
69.7  12  2 2 0



[4]
This entry pairs a crystal structure of ZnSe with its calculated powder diffraction line list. Radiation: λ = 1.5418 Å (Cu Kα). Structure: a crystal structure in OQMD, relaxed with PBE.

Cell lengths 4.0339, 4.0339, 6.6466 Å; angles 90.00, 90.00, 120.00 degrees
Space group P6_3mc (No. 186)
Symmetry-distinct sites (fractional):
Zn (0.3333, 0.6667, 0.0000) (multiplicity 2)
Se (0.3333, 0.6667, 0.3740) (multiplicity 2)

Principal peaks in the range 5° ≤ 2θ ≤ 70°, in order of rising 2θ:
2θ (°)  I/Imax  index
25.5  100  1 0 0
26.8  58  0 0 2
28.9  66  1 0 1
37.3  36  1 0 2
44.9  85  1 1 0
48.7  86  1 0 3
53.1  50  1 1 2
68.4  30  2 0 3



[5]
This entry pairs a crystal structure of Ho3Er2Tm3 with its calculated powder diffraction line list. Radiation: λ = 1.5418 Å (Cu Kα). Structure: a crystal structure in OQMD, relaxed with PBE.

Cell lengths 5.5420, 7.1291, 12.3478 Å; angles 90.00, 90.00, 90.00 degrees
Space group Amm2 (No. 38)
Symmetry-distinct sites (fractional):
Ho (0.0000, 0.0000, 0.0000) (multiplicity 2)
Ho (0.5000, 0.2499, 0.0832) (multiplicity 4)
Er (0.0000, 0.0000, 0.5000) (multiplicity 2)
Er (0.5000, 0.0000, 0.8333) (multiplicity 2)
Tm (0.0000, 0.2501, 0.2498) (multiplicity 4)
Tm (0.5000, 0.0000, 0.3333) (multiplicity 2)

Principal peaks in the range 5° ≤ 2θ ≤ 70°, in order of rising 2θ:
2θ (°)  I/Imax  index
28.9  24  0 2 2
32.3  24  2 0 0
33.2  100  1 2 2
43.9  15  2 2 2
51.3  20  0 4 0
58.2  20  3 2 2
61.9  22  2 4 0
62.5  16  1 4 4



[6]
This entry pairs a crystal structure of Hf4Pb2CN with its calculated powder diffraction line list. Radiation: λ = 1.5418 Å (Cu Kα). Structure: a crystal structure in OQMD, relaxed with PBE.

Cell lengths 3.3368, 3.3368, 14.7359 Å; angles 90.00, 90.00, 120.00 degrees
Space group P-3m1 (No. 164)
Symmetry-distinct sites (fractional):
Hf (0.3333, 0.6667, 0.0822) (multiplicity 2)
Hf (0.3333, 0.6667, 0.4181) (multiplicity 2)
Pb (0.3333, 0.6667, 0.7489) (multiplicity 2)
C (0.0000, 0.0000, 0.0000) (multiplicity 1)
N (0.0000, 0.0000, 0.5000) (multiplicity 1)

Principal peaks in the range 5° ≤ 2θ ≤ 70°, in order of rising 2θ:
2θ (°)  I/Imax  index
30.9  23  1 0 0
36.1  100  1 0 3
36.6  20  0 0 6
48.7  16  0 1 6
55.0  21  1 1 0
65.5  18  1 0 9
67.6  16  0 2 3
67.9  21  1 1 6



[7]
This entry pairs a crystal structure of NdZrNp with its calculated powder diffraction line list. Radiation: λ = 1.5418 Å (Cu Kα). Structure: a crystal structure in OQMD, relaxed with PBE.

Cell lengths 6.9188, 6.9188, 6.9188 Å; angles 90.00, 90.00, 90.00 degrees
Space group F-43m (No. 216)
Symmetry-distinct sites (fractional):
Nd (0.0000, 0.0000, 0.0000) (multiplicity 4)
Zr (0.2500, 0.2500, 0.7500) (multiplicity 4)
Np (0.2500, 0.2500, 0.2500) (multiplicity 4)

Principal peaks in the range 5° ≤ 2θ ≤ 70°, in order of rising 2θ:
2θ (°)  I/Imax  index
22.3  42  1 1 1
25.8  18  2 0 0
36.7  100  2 2 0
43.4  23  3 1 1
52.9  18  4 0 0
58.1  10  3 3 1
59.8  7  4 2 0
66.2  36  4 2 2



[8]
This entry pairs a crystal structure of Li2Zn3GaAu2 with its calculated powder diffraction line list. Radiation: λ = 1.5418 Å (Cu Kα). Structure: a crystal structure in OQMD, relaxed with PBE.

Cell lengths 4.4103, 4.4103, 6.2381 Å; angles 90.00, 90.00, 90.00 degrees
Space group P-4m2 (No. 115)
Symmetry-distinct sites (fractional):
Li (0.0000, 0.5000, 0.2486) (multiplicity 2)
Zn (0.0000, 0.0000, 0.0000) (multiplicity 1)
Zn (0.5000, 0.5000, 0.0000) (multiplicity 1)
Zn (0.5000, 0.5000, 0.5000) (multiplicity 1)
Ga (0.0000, 0.0000, 0.5000) (multiplicity 1)
Au (0.0000, 0.5000, 0.7498) (multiplicity 2)

Principal peaks in the range 5° ≤ 2θ ≤ 70°, in order of rising 2θ:
2θ (°)  I/Imax  index
24.7  76  1 0 1
28.6  4  1 1 0
40.9  100  2 0 0
48.4  39  2 1 1
50.7  1  2 0 2
59.3  17  2 2 0
65.2  16  3 0 1
67.1  2  3 1 0



[9]
This entry pairs a crystal structure of Nd2Y2CI2Br3 with its calculated powder diffraction line list. Radiation: λ = 1.5418 Å (Cu Kα). Structure: a crystal structure in OQMD, relaxed with PBE.

Cell lengths 18.5806, 3.9265, 8.3520 Å; angles 90.00, 102.07, 90.00 degrees
Space group C2/m (No. 12)
Symmetry-distinct sites (fractional):
Nd (0.1378, 0.0000, 0.0643) (multiplicity 4)
Y (0.0014, 0.5000, 0.8023) (multiplicity 4)
C (0.0000, 0.0000, 0.0000) (multiplicity 2)
I (0.1638, 0.5000, 0.3605) (multiplicity 4)
Br (0.0000, 0.0000, 0.5000) (multiplicity 2)
Br (0.1631, 0.5000, 0.8125) (multiplicity 4)

Principal peaks in the range 5° ≤ 2θ ≤ 70°, in order of rising 2θ:
2θ (°)  I/Imax  index
28.0  24  3 1 -1
29.5  46  6 0 0
30.4  34  3 1 1
31.3  100  1 1 -2
36.4  19  2 0 3
43.3  40  2 0 -4
43.8  28  7 1 -2
46.2  19  0 2 0



[10]
This entry pairs a crystal structure of TbSiTc with its calculated powder diffraction line list. Radiation: λ = 1.5418 Å (Cu Kα). Structure: a crystal structure in OQMD, relaxed with PBE.

Cell lengths 6.2456, 6.2456, 6.2456 Å; angles 90.00, 90.00, 90.00 degrees
Space group F-43m (No. 216)
Symmetry-distinct sites (fractional):
Tb (0.0000, 0.0000, 0.0000) (multiplicity 4)
Si (0.2500, 0.2500, 0.2500) (multiplicity 4)
Tc (0.0000, 0.0000, 0.5000) (multiplicity 4)

Principal peaks in the range 5° ≤ 2θ ≤ 70°, in order of rising 2θ:
2θ (°)  I/Imax  index
24.7  12  1 1 1
28.6  84  2 0 0
40.9  100  2 2 0
48.3  6  3 1 1
50.6  23  2 2 2
59.2  17  4 0 0
65.1  3  3 3 1
67.0  30  4 2 0



[11]
This entry pairs a crystal structure of KRbSbAu with its calculated powder diffraction line list. Radiation: λ = 1.5418 Å (Cu Kα). Structure: a crystal structure in OQMD, relaxed with PBE.

Cell lengths 6.8135, 8.0049, 10.8563 Å; angles 90.00, 90.00, 90.00 degrees
Space group Ama2 (No. 40)
Symmetry-distinct sites (fractional):
K (0.2500, 0.1653, 0.0000) (multiplicity 4)
Rb (0.2500, 0.1656, 0.3410) (multiplicity 4)
Sb (0.2500, 0.2600, 0.6725) (multiplicity 4)
Au (0.0000, 0.0000, 0.6662) (multiplicity 4)

Principal peaks in the range 5° ≤ 2θ ≤ 70°, in order of rising 2θ:
2θ (°)  I/Imax  index
13.7  99  0 1 1
16.3  85  0 0 2
27.0  54  0 1 3
29.7  75  2 1 1
30.1  69  1 1 3
34.6  100  2 2 0
38.5  54  2 2 2
48.5  51  0 4 2



[12]
This entry pairs a crystal structure of Dy3SbO3 with its calculated powder diffraction line list. Radiation: λ = 1.5418 Å (Cu Kα). Structure: a crystal structure in OQMD, relaxed with PBE.

Cell lengths 13.0250, 3.8505, 11.6656 Å; angles 90.00, 118.29, 90.00 degrees
Space group C2/m (No. 12)
Symmetry-distinct sites (fractional):
Dy (0.1195, 0.0000, 0.4423) (multiplicity 4)
Dy (0.1280, 0.0000, 0.9007) (multiplicity 4)
Dy (0.1574, 0.5000, 0.2072) (multiplicity 4)
Sb (0.1175, 0.5000, 0.6794) (multiplicity 4)
O (0.0638, 0.0000, 0.1925) (multiplicity 4)
O (0.1631, 0.5000, 0.0138) (multiplicity 4)
O (0.1893, 0.5000, 0.4094) (multiplicity 4)

Principal peaks in the range 5° ≤ 2θ ≤ 70°, in order of rising 2θ:
2θ (°)  I/Imax  index
30.7  54  2 0 -4
31.2  57  4 0 0
31.7  100  3 1 -2
32.2  91  1 1 2
47.2  24  0 2 0
55.5  16  7 1 -2
57.4  18  2 2 -4
57.7  19  4 2 0



[13]
This entry pairs a crystal structure of Sr2Co2Au with its calculated powder diffraction line list. Radiation: λ = 1.5418 Å (Cu Kα). Structure: a crystal structure in OQMD, relaxed with PBE.

Cell lengths 5.6062, 5.6062, 14.0870 Å; angles 90.00, 90.00, 90.00 degrees
Space group I4_1/amd (No. 141, origin choice 2)
Symmetry-distinct sites (fractional):
Sr (0.0000, 0.0000, 0.0000) (multiplicity 8)
Co (0.0000, 0.2500, 0.1991) (multiplicity 8)
Au (0.0000, 0.2500, 0.3750) (multiplicity 4)

Principal peaks in the range 5° ≤ 2θ ≤ 70°, in order of rising 2θ:
2θ (°)  I/Imax  index
17.0  36  1 0 1
24.7  37  1 0 3
31.9  52  2 0 0
34.4  25  2 0 2
35.7  63  1 0 5
36.4  100  2 1 1
44.9  38  1 1 6
53.0  27  2 2 4



[14]
This entry pairs a crystal structure of TmLuMo2C3 with its calculated powder diffraction line list. Radiation: λ = 1.5418 Å (Cu Kα). Structure: a crystal structure in OQMD, relaxed with PBE.

Cell lengths 11.2520, 3.3435, 5.6183 Å; angles 90.00, 108.87, 90.00 degrees
Space group Cm (No. 8)
Symmetry-distinct sites (fractional):
Tm (0.0000, 0.0000, 0.0000) (multiplicity 2)
Lu (0.2692, 0.5000, 0.3631) (multiplicity 2)
Mo (0.0331, 0.5000, 0.5490) (multiplicity 2)
Mo (0.2366, 0.0000, 0.8131) (multiplicity 2)
C (0.1166, 0.0000, 0.4349) (multiplicity 2)
C (0.1545, 0.5000, 0.9288) (multiplicity 2)
C (0.3844, 0.0000, 0.6790) (multiplicity 2)

Principal peaks in the range 5° ≤ 2θ ≤ 70°, in order of rising 2θ:
2θ (°)  I/Imax  index
32.4  53  2 0 -2
33.7  59  4 0 0
34.2  100  1 1 1
37.1  87  3 1 -1
42.6  24  2 0 2
54.9  16  0 2 0
58.6  16  5 1 1
66.0  17  4 2 0